Structure and computed XRD peak list of CeP2H2CO6 (a PBE-relaxed structure; Cu Kα).
Intensities are scaled so that the largest is 100.

Main lines, most intense first (2θ = 10–90°):
2theta  d_spacing  I (rel.)
12.7  6.973  100
26.2  3.406  62
22.0  4.039  60
22.8  3.904  55
31.4  2.850  53
36.8  2.442  27
43.3  2.088  26
34.5  2.601  23

Structure:
```
data_CeP2H2CO6
_chemical_formula_sum 'Ce2 P4 H4 C2 O12'
_cell_length_a 8.1645
_cell_length_b 8.1645
_cell_length_c 5.3903
_cell_angle_alpha 101.82
_cell_angle_beta 101.82
_cell_angle_gamma 117.30
_symmetry_space_group_name_H-M 'P 1'
_symmetry_Int_Tables_number 1
loop_
_symmetry_equiv_pos_as_xyz
'x,y,z'
loop_
_atom_site_label
_atom_site_fract_x
_atom_site_fract_y
_atom_site_fract_z
Ce1 0.2351 0.7649 0.0000
Ce2 0.7649 0.2351 0.0000
P1 0.1388 0.3690 0.6307
P2 0.3690 0.1388 0.6307
P3 0.6310 0.8612 0.3693
P4 0.8612 0.6310 0.3693
H1 0.0977 0.0977 0.7638
H2 0.3185 0.3185 0.9794
H3 0.6815 0.6815 0.0206
H4 0.9023 0.9023 0.2362
C1 0.2279 0.2279 0.7660
C2 0.7721 0.7721 0.2340
O1 0.0102 0.3933 0.7975
O2 0.0212 0.2636 0.3266
O3 0.2636 0.0212 0.3266
O4 0.3077 0.5827 0.7061
O5 0.3933 0.0102 0.7975
O6 0.4173 0.6923 0.2939
O7 0.5827 0.3077 0.7061
O8 0.6067 0.9898 0.2025
O9 0.6923 0.4173 0.2939
O10 0.7363 0.9788 0.6734
O11 0.9788 0.7363 0.6734
O12 0.9898 0.6067 0.2025
```

---

Structure and computed XRD peak list of CeH3CSO7 (a PBE-relaxed structure; Cu Kα).
Intensities are scaled so that the largest is 100.

Main lines, most intense first (2θ = 10–90°):
2theta  d_spacing  I (rel.)
14.6  6.084  100
19.4  4.569  73
26.3  3.387  72
33.9  2.646  42
41.5  2.174  39
28.3  3.158  38
39.1  2.306  30
25.6  3.477  29

Structure:
```
data_CeH3CSO7
_chemical_formula_sum 'Ce4 H12 C4 S4 O28'
_cell_length_a 7.0616
_cell_length_b 7.0616
_cell_length_c 11.9841
_cell_angle_alpha 90.00
_cell_angle_beta 90.00
_cell_angle_gamma 90.00
_symmetry_space_group_name_H-M 'P 1'
_symmetry_Int_Tables_number 1
loop_
_symmetry_equiv_pos_as_xyz
'x,y,z'
loop_
_atom_site_label
_atom_site_fract_x
_atom_site_fract_y
_atom_site_fract_z
Ce1 0.1082 0.6327 0.0000
Ce2 0.3673 0.1082 0.7500
Ce3 0.6327 0.8918 0.2500
Ce4 0.8918 0.3673 0.5000
H1 0.0171 0.1464 0.0392
H2 0.1464 0.9829 0.2892
H3 0.1845 0.3957 0.2191
H4 0.3851 0.4642 0.1787
H5 0.3957 0.8155 0.4691
H6 0.4642 0.6149 0.4287
H7 0.5358 0.3851 0.9287
H8 0.6043 0.1845 0.9691
H9 0.6149 0.5358 0.6787
H10 0.8155 0.6043 0.7191
H11 0.8536 0.0171 0.7892
H12 0.9829 0.8536 0.5392
C1 0.1040 0.1424 0.9625
C2 0.1424 0.8960 0.2125
C3 0.8576 0.1040 0.7125
C4 0.8960 0.8576 0.4625
S1 0.2413 0.6118 0.6943
S2 0.3882 0.2413 0.4443
S3 0.6118 0.7587 0.9443
S4 0.7587 0.3882 0.1943
O1 0.0186 0.1551 0.6737
O2 0.1194 0.5492 0.6008
O3 0.1225 0.6443 0.7944
O4 0.1476 0.2969 0.9149
O5 0.1551 0.9814 0.9237
O6 0.2102 0.3375 0.4107
O7 0.2553 0.4339 0.1526
O8 0.2969 0.8524 0.1649
O9 0.3375 0.7898 0.6607
O10 0.3557 0.1225 0.5444
O11 0.3867 0.4621 0.7183
O12 0.4339 0.7447 0.4026
O13 0.4508 0.1194 0.3508
O14 0.4621 0.6133 0.9683
O15 0.5379 0.3867 0.4683
O16 0.5492 0.8806 0.8508
O17 0.5661 0.2553 0.9026
O18 0.6133 0.5379 0.2183
O19 0.6443 0.8775 0.0444
O20 0.6625 0.2102 0.1607
O21 0.7031 0.1476 0.6649
O22 0.7447 0.5661 0.6526
O23 0.7898 0.6625 0.9107
O24 0.8449 0.0186 0.4237
O25 0.8524 0.7031 0.4149
O26 0.8775 0.3557 0.2944
O27 0.8806 0.4508 0.1008
O28 0.9814 0.8449 0.1737
```